Structure and computed PXRD pattern of LiVF4 (the GGA+U geometry in Alexandria; copper Kα).
Neutral-atom scattering factors, no anomalous dispersion.

Atomic structure:
Cell: 7.6271 5.0438 7.4085 Å, 90.00 102.26 90.00°
Fractional positions:
Li 0.1403 0.2416 0.3422
Li 0.1403 0.2584 0.8422
Li 0.8597 0.7416 0.1578
Li 0.8597 0.7584 0.6578
V 0.3158 0.7447 0.6840
V 0.3158 0.7553 0.1840
V 0.6842 0.2447 0.8160
V 0.6842 0.2553 0.3160
F 0.0957 0.5740 0.1957
F 0.0957 0.9260 0.6957
F 0.1934 0.0702 0.0848
F 0.1934 0.4298 0.5848
F 0.3084 0.5867 0.9342
F 0.3084 0.9133 0.4342
F 0.4480 0.0665 0.8041
F 0.4480 0.4335 0.3041
F 0.5520 0.5665 0.6959
F 0.5520 0.9335 0.1959
F 0.6916 0.0867 0.5658
F 0.6916 0.4133 0.0658
F 0.8066 0.5702 0.4152
F 0.8066 0.9298 0.9152
F 0.9043 0.0740 0.3043
F 0.9043 0.4260 0.8043

Most intense lines, 15 to 90 degrees two-theta, in order of rising 2θ:
2θ = 21.3°, rel. 100, (1 1 0)
2θ = 24.6°, rel. 31, (0 0 2)
2θ = 25.0°, rel. 37, (1 0 -2)
2θ = 29.8°, rel. 33, (2 1 0)
2θ = 40.0°, rel. 36, (3 1 -1)
2θ = 40.6°, rel. 32, (1 2 1)
2θ = 40.9°, rel. 36, (1 1 -3)
2θ = 53.2°, rel. 31, (2 2 2)